Calculated X-ray powder pattern of Ac2AlNi3Pt12 for copper Kα, from a structure optimized by DFT (GGA-PBE).

Structural model:
a = 8.041 Å, b = 8.041 Å, c = 8.041 Å
α = 60.17°, β = 60.17°, γ = 60.17°
Positions (direct):
Ac (0.122, 0.122, 0.122)
Ac (0.878, 0.878, 0.878)
Al (0.500, 0.500, 0.500)
Ni (0.000, 0.500, 0.500)
Ni (0.500, 0.000, 0.500)
Ni (0.500, 0.500, 0.000)
Pt (0.130, 0.620, 0.620)
Pt (0.133, 0.133, 0.618)
Pt (0.133, 0.618, 0.133)
Pt (0.380, 0.380, 0.870)
Pt (0.380, 0.870, 0.380)
Pt (0.382, 0.867, 0.867)
Pt (0.618, 0.133, 0.133)
Pt (0.620, 0.130, 0.620)
Pt (0.620, 0.620, 0.130)
Pt (0.867, 0.382, 0.867)
Pt (0.867, 0.867, 0.382)
Pt (0.870, 0.380, 0.380)

Principal peaks in the range 10° ≤ 2θ ≤ 80°, sorted by position:
2theta	Rel. int.
22.07	81
25.95	207
31.43	1000
34.30	37
41.18	49
44.98	522
45.10	516
55.90	200
56.10	65
65.59	168
74.45	172
74.63	169


Calculated X-ray powder pattern of Li2Ca5 for copper Kα, from a structure optimized by DFT (GGA-PBE).

Structural model:
a = 3.860 Å, b = 3.860 Å, c = 33.589 Å
α = 90.00°, β = 90.00°, γ = 90.00°
Positions (direct):
Li (0.000, 0.000, 0.230)
Li (0.000, 0.000, 0.770)
Li (0.500, 0.500, 0.270)
Li (0.500, 0.500, 0.730)
Ca (0.000, 0.000, 0.083)
Ca (0.000, 0.000, 0.333)
Ca (0.000, 0.000, 0.500)
Ca (0.000, 0.000, 0.667)
Ca (0.000, 0.000, 0.917)
Ca (0.500, 0.500, 0.000)
Ca (0.500, 0.500, 0.167)
Ca (0.500, 0.500, 0.417)
Ca (0.500, 0.500, 0.583)
Ca (0.500, 0.500, 0.833)

Principal peaks in the range 10° ≤ 2θ ≤ 80°, sorted by position:
2theta	Rel. int.
10.54	104
26.63	1000
29.70	875
31.97	292
32.81	590
46.47	375
47.08	196
51.99	126
54.91	227
56.66	240
57.32	116
58.04	180


Calculated X-ray powder pattern of Cs6Pt for copper Kα, from a structure optimized by DFT (GGA-PBE).

Structural model:
a = 17.287 Å, b = 15.774 Å, c = 9.110 Å
α = 90.00°, β = 90.00°, γ = 90.00°
Positions (direct):
Cs (0.005, 0.250, 0.202)
Cs (0.017, 0.097, 0.747)
Cs (0.017, 0.403, 0.747)
Cs (0.236, 0.099, 0.070)
Cs (0.236, 0.401, 0.070)
Cs (0.244, 0.250, 0.614)
Cs (0.256, 0.750, 0.114)
Cs (0.264, 0.599, 0.570)
Cs (0.264, 0.901, 0.570)
Cs (0.483, 0.597, 0.247)
Cs (0.483, 0.903, 0.247)
Cs (0.495, 0.750, 0.702)
Cs (0.505, 0.250, 0.298)
Cs (0.517, 0.097, 0.753)
Cs (0.517, 0.403, 0.753)
Cs (0.736, 0.099, 0.430)
Cs (0.736, 0.401, 0.430)
Cs (0.744, 0.250, 0.886)
Cs (0.756, 0.750, 0.386)
Cs (0.764, 0.599, 0.930)
Cs (0.764, 0.901, 0.930)
Cs (0.983, 0.597, 0.253)
Cs (0.983, 0.903, 0.253)
Cs (0.995, 0.750, 0.798)
Pt (0.126, 0.250, 0.909)
Pt (0.374, 0.750, 0.409)
Pt (0.626, 0.250, 0.591)
Pt (0.874, 0.750, 0.091)

Principal peaks in the range 10° ≤ 2θ ≤ 80°, sorted by position:
2theta	Rel. int.
11.22	298
11.67	323
12.33	187
20.16	176
20.55	194
22.06	1000
24.92	450
32.51	216
34.10	410
36.91	210
40.99	144
55.01	184


Calculated X-ray powder pattern of Li3Sn2P3O12 for copper Kα, from a structure optimized by DFT (GGA-PBE).

Structural model:
a = 5.053 Å, b = 5.053 Å, c = 20.455 Å
α = 90.01°, β = 90.01°, γ = 66.50°
Positions (direct):
Li (0.003, 0.003, 0.349)
Li (0.333, 0.333, 0.588)
Li (0.336, 0.336, 0.276)
Li (0.664, 0.664, 0.724)
Li (0.667, 0.667, 0.412)
Li (0.997, 0.997, 0.651)
Sn (0.000, 0.000, 0.000)
Sn (0.000, 0.000, 0.500)
Sn (0.004, 0.004, 0.181)
Sn (0.996, 0.996, 0.819)
P (0.344, 0.344, 0.743)
P (0.358, 0.358, 0.105)
P (0.358, 0.358, 0.417)
P (0.642, 0.642, 0.583)
P (0.642, 0.642, 0.895)
P (0.656, 0.656, 0.257)
O (0.236, 0.700, 0.108)
O (0.238, 0.238, 0.361)
O (0.238, 0.687, 0.747)
O (0.239, 0.239, 0.806)
O (0.247, 0.695, 0.410)
O (0.248, 0.248, 0.682)
O (0.253, 0.253, 0.169)
O (0.266, 0.266, 0.042)
O (0.281, 0.281, 0.486)
O (0.300, 0.764, 0.892)
O (0.305, 0.753, 0.590)
O (0.313, 0.762, 0.253)
O (0.687, 0.238, 0.747)
O (0.695, 0.247, 0.410)
O (0.700, 0.236, 0.108)
O (0.719, 0.719, 0.514)
O (0.734, 0.734, 0.958)
O (0.747, 0.747, 0.831)
O (0.752, 0.752, 0.318)
O (0.753, 0.305, 0.590)
O (0.761, 0.761, 0.194)
O (0.762, 0.313, 0.253)
O (0.762, 0.762, 0.639)
O (0.764, 0.300, 0.892)

Principal peaks in the range 10° ≤ 2θ ≤ 80°, sorted by position:
2theta	Rel. int.
12.98	449
19.15	555
21.03	433
23.21	613
24.79	341
25.95	220
32.31	371
32.61	1000
35.76	512
42.02	224
47.44	295
61.54	311


Calculated X-ray powder pattern of Tb2Ce3SmN6 for copper Kα, from a structure optimized by DFT (GGA-PBE).

Structural model:
a = 6.145 Å, b = 6.145 Å, c = 6.138 Å
α = 99.61°, β = 99.61°, γ = 119.99°
Positions (direct):
Tb (0.167, 0.833, 0.000)
Tb (0.833, 0.167, 0.000)
Ce (0.000, 0.000, 0.500)
Ce (0.333, 0.667, 0.500)
Ce (0.667, 0.333, 0.500)
Sm (0.500, 0.500, 0.000)
N (0.077, 0.415, 0.746)
N (0.246, 0.246, 0.253)
N (0.415, 0.077, 0.746)
N (0.585, 0.923, 0.254)
N (0.754, 0.754, 0.747)
N (0.923, 0.585, 0.254)

Principal peaks in the range 10° ≤ 2θ ≤ 80°, sorted by position:
2theta	Rel. int.
30.88	1000
35.81	738
51.54	508
61.30	450
64.35	170
75.88	78


Calculated X-ray powder pattern of CeGa12Pd6 for copper Kα, from a structure optimized by DFT (GGA-PBE).

Structural model:
a = 7.213 Å, b = 7.213 Å, c = 7.213 Å
α = 104.31°, β = 104.31°, γ = 104.31°
Positions (direct):
Ce (0.000, 0.000, 0.000)
Ga (0.111, 0.500, 0.889)
Ga (0.111, 0.889, 0.500)
Ga (0.144, 0.395, 0.395)
Ga (0.395, 0.144, 0.395)
Ga (0.395, 0.395, 0.144)
Ga (0.500, 0.111, 0.889)
Ga (0.500, 0.889, 0.111)
Ga (0.605, 0.605, 0.856)
Ga (0.605, 0.856, 0.605)
Ga (0.856, 0.605, 0.605)
Ga (0.889, 0.111, 0.500)
Ga (0.889, 0.500, 0.111)
Pd (0.284, 0.711, 0.711)
Pd (0.289, 0.289, 0.716)
Pd (0.289, 0.716, 0.289)
Pd (0.711, 0.284, 0.711)
Pd (0.711, 0.711, 0.284)
Pd (0.716, 0.289, 0.289)

Principal peaks in the range 10° ≤ 2θ ≤ 80°, sorted by position:
2theta	Rel. int.
25.92	606
31.37	593
34.12	970
34.29	1000
38.65	322
41.01	582
41.16	862
41.92	382
44.75	878
44.95	714
50.62	688
67.16	285


Calculated X-ray powder pattern of La6PtRh3 for copper Kα, from a structure optimized by DFT (GGA-PBE).

Structural model:
a = 12.064 Å, b = 4.170 Å, c = 12.403 Å
α = 90.00°, β = 110.81°, γ = 90.00°
Positions (direct):
La (0.050, 0.250, 0.394)
La (0.100, 0.750, 0.947)
La (0.236, 0.250, 0.766)
La (0.256, 0.750, 0.270)
La (0.398, 0.250, 0.565)
La (0.442, 0.250, 0.106)
La (0.558, 0.750, 0.894)
La (0.602, 0.750, 0.435)
La (0.744, 0.250, 0.730)
La (0.764, 0.750, 0.234)
La (0.900, 0.250, 0.053)
La (0.950, 0.750, 0.606)
Pt (0.191, 0.750, 0.565)
Pt (0.809, 0.250, 0.435)
Rh (0.001, 0.750, 0.211)
Rh (0.333, 0.750, 0.942)
Rh (0.421, 0.250, 0.340)
Rh (0.579, 0.750, 0.660)
Rh (0.667, 0.250, 0.058)
Rh (0.999, 0.250, 0.789)

Principal peaks in the range 10° ≤ 2θ ≤ 80°, sorted by position:
2theta	Rel. int.
26.58	300
29.07	444
29.23	530
29.91	745
31.56	1000
32.05	243
34.98	299
38.41	292
41.63	402
42.50	228
43.39	592
53.60	289


Calculated X-ray powder pattern of Pd3Pb5 for copper Kα, from a structure optimized by DFT (GGA-PBE).

Structural model:
a = 7.876 Å, b = 13.532 Å, c = 3.676 Å
α = 90.00°, β = 90.00°, γ = 90.00°
Positions (direct):
Pd (0.000, 0.000, 0.000)
Pd (0.018, 0.311, 0.500)
Pd (0.482, 0.811, 0.500)
Pd (0.500, 0.500, 0.000)
Pd (0.518, 0.189, 0.500)
Pd (0.982, 0.689, 0.500)
Pb (0.000, 0.500, 0.000)
Pb (0.182, 0.114, 0.500)
Pb (0.186, 0.819, 0.000)
Pb (0.314, 0.319, 0.000)
Pb (0.318, 0.614, 0.500)
Pb (0.500, 0.000, 0.000)
Pb (0.682, 0.386, 0.500)
Pb (0.686, 0.681, 0.000)
Pb (0.814, 0.181, 0.000)
Pb (0.818, 0.886, 0.500)

Principal peaks in the range 10° ≤ 2θ ≤ 80°, sorted by position:
2theta	Rel. int.
28.72	340
29.90	1000
33.44	239
34.01	471
34.81	330
34.99	400
35.96	716
36.08	305
39.72	262
47.29	167
49.60	281
65.17	286